Simulated XRD peak list of Zn3Cu2As4O16 for λ = 1.5418 Å (Cu Kα), from DFT lattice parameters and positions (PBE).
No peak broadening, texture or thermal motion is included.

Largest 10 diffraction maxima, sorted by position, 2θ from 10° to 90°:
2theta	d [Å]	intensity	(hkl)
13.2	6.688	19	0 1 0
18.8	4.722	21	1 1 1
19.4	4.585	14	0 0 2
26.6	3.348	100	1 2 1
27.5	3.249	50	-1 1 1
32.2	2.782	42	1 0 3
33.4	2.686	17	2 1 0
34.7	2.582	22	0 2 -2
36.2	2.482	30	1 0 -3
38.3	2.353	15	2 0 2

Structural model:
abc: 5.461 7.169 9.355
angles: 81.26 80.10 69.66
Space group P1 (No. 1)
Inequivalent atoms, fractional coordinates:
Zn: 0.000 0.000 0.000 [1 per cell]
Zn: 0.229 0.321 0.310 [1 per cell]
Zn: 0.537 0.954 0.515 [1 per cell]
Cu: 0.138 0.638 0.654 [1 per cell]
Cu: 0.607 0.647 0.141 [1 per cell]
As: 0.126 0.867 0.331 [1 per cell]
As: 0.140 0.430 0.974 [1 per cell]
As: 0.622 0.863 0.833 [1 per cell]
As: 0.676 0.418 0.458 [1 per cell]
O: 0.307 0.635 0.266 [1 per cell]
O: 0.312 0.504 0.811 [1 per cell]
O: 0.335 0.994 0.348 [1 per cell]
O: 0.358 0.329 0.099 [1 per cell]
O: 0.390 0.975 0.717 [1 per cell]
O: 0.414 0.812 0.993 [1 per cell]
O: 0.465 0.628 0.542 [1 per cell]
O: 0.515 0.254 0.447 [1 per cell]
O: 0.790 0.016 0.848 [1 per cell]
O: 0.809 0.499 0.282 [1 per cell]
O: 0.819 0.641 0.754 [1 per cell]
O: 0.905 0.000 0.216 [1 per cell]
O: 0.912 0.664 0.028 [1 per cell]
O: 0.947 0.811 0.498 [1 per cell]
O: 0.968 0.283 0.954 [1 per cell]
O: 0.979 0.318 0.512 [1 per cell]

---

Simulated XRD peak list of CuAsOs2 for λ = 1.5418 Å (Cu Kα), from DFT lattice parameters and positions (PBE).
No peak broadening, texture or thermal motion is included.

Largest 10 diffraction maxima, sorted by position, 2θ from 10° to 90°:
2theta	d [Å]	intensity	(hkl)
16.4	5.398	50	0 0 1
28.9	3.085	18	0 1 1
39.7	2.268	100	1 1 0
41.2	2.192	89	0 1 2
43.3	2.091	18	1 1 1
46.4	1.958	63	1 0 2
48.4	1.879	28	0 2 0
69.3	1.356	38	1 2 2
80.5	1.193	25	2 1 2
83.3	1.160	22	1 1 4

Structural model:
abc: 2.844 3.759 5.398
angles: 90.00 90.00 90.00
Space group Pmm2 (No. 25)
Inequivalent atoms, fractional coordinates:
Cu: 0.000 0.000 0.000 [1 per cell]
As: 0.500 0.500 0.759 [1 per cell]
Os: 0.000 0.000 0.479 [1 per cell]
Os: 0.500 0.500 0.252 [1 per cell]